# LaMg6Si2
Theoretical powder diffractogram, Cu Kα, 1.54184 Å. Input: DFT lattice parameters and positions (GGA-PBE).
Intensities are scaled so that the largest is 100.

Peak list (10 most intense, 5 to 70 degrees two-theta, in order of rising 2θ)
8.46°, d = 10.446 Å, I 90; 22.10°, d = 4.022 Å, I 28; 26.64°, d = 3.346 Å, I 35; 28.98°, d = 3.081 Å, I 18; 30.24°, d = 2.955 Å, I 32; 32.93°, d = 2.720 Å, I 35; 33.78°, d = 2.654 Å, I 100; 40.26°, d = 2.240 Å, I 26; 41.44°, d = 2.179 Å, I 39; 53.92°, d = 1.701 Å, I 17

Crystal structure
```
LaMg6Si2
1.0
4.358 0.000 0.000
0.000 4.358 0.000
0.000 0.000 10.446
La Mg Si
1 6 2
Direct
0.000 0.000 0.000 La
0.000 0.000 0.500 Mg
0.000 0.500 0.274 Mg
0.000 0.500 0.726 Mg
0.500 0.000 0.274 Mg
0.500 0.000 0.726 Mg
0.500 0.500 0.500 Mg
0.500 0.500 0.114 Si
0.500 0.500 0.886 Si
```

# La2Sm8Mg
Theoretical powder diffractogram, Cu Kα, 1.54184 Å. Input: DFT lattice parameters and positions (GGA-PBE).
Intensities are scaled so that the largest is 100.

Peak list (10 most intense, 5 to 70 degrees two-theta, in order of rising 2θ)
25.07°, d = 3.551 Å, I 19; 30.51°, d = 2.930 Å, I 35; 31.36°, d = 2.852 Å, I 13; 31.59°, d = 2.832 Å, I 34; 31.96°, d = 2.800 Å, I 100; 40.75°, d = 2.214 Å, I 10; 48.53°, d = 1.876 Å, I 14; 56.49°, d = 1.629 Å, I 20; 56.67°, d = 1.624 Å, I 10; 59.06°, d = 1.564 Å, I 16

Crystal structure
```
La2Sm8Mg
1.0
-2.832 3.903 8.557
2.832 -3.903 8.557
2.832 3.903 -8.557
La Sm Mg
2 8 1
Direct
0.195 0.195 0.000 La
0.805 0.805 0.000 La
0.087 0.366 0.721 Sm
0.236 0.000 0.236 Sm
0.328 0.828 0.500 Sm
0.354 0.634 0.721 Sm
0.646 0.366 0.279 Sm
0.672 0.172 0.500 Sm
0.764 0.000 0.764 Sm
0.913 0.634 0.279 Sm
0.500 0.500 0.000 Mg
```